1.
Diffraction record for Rb3Tl3NiBr8. The powder X-ray diffraction pattern is computed, not measured: it uses a cell relaxed with PBE and λ = 1.5418 Å (Cu Kα).

Cell and atoms:
```
data_Rb3Tl3NiBr8
_space_group_name_H-M_alt 'R -3 m'
_space_group_IT_number 166
_space_group_name_Hall '-R 3 2"'
_cell_length_a 9.6096
_cell_length_b 9.6096
_cell_length_c 22.9945
_cell_angle_alpha 90.00
_cell_angle_beta 90.00
_cell_angle_gamma 120.00
loop_
_atom_site_label
_atom_site_fract_x
_atom_site_fract_y
_atom_site_fract_z
Rb1 0.0000 0.5000 0.0000
Tl1 0.0000 0.5000 0.5000
Ni1 0.0000 0.0000 0.0000
Br1 0.0000 0.0000 0.2478
Br2 0.0758 0.5379 0.7335
```

Most intense lines, 15 to 90 degrees two-theta, sorted by position:
2θ (°), I/Imax, index
22.73, 10, 2 0 2
26.44, 100, 0 2 4
34.55, 10, 1 2 5
37.43, 32, 2 2 0
38.05, 32, 2 0 8
44.51, 8, 2 2 6
46.41, 14, 4 0 4
54.44, 10, 0 4 8
61.09, 11, 2 4 4
61.94, 12, 2 2 12



2.
Diffraction record for NiSBr. The powder X-ray diffraction pattern is computed, not measured: it uses a cell relaxed with PBE and λ = 1.5418 Å (Cu Kα).

Cell and atoms:
```
data_NiSBr
_space_group_name_H-M_alt 'P m m a'
_space_group_IT_number 51
_cell_length_a 4.335
_cell_length_b 3.502
_cell_length_c 9.473
_cell_angle_alpha 90.00
_cell_angle_beta 90.00
_cell_angle_gamma 90.00
loop_
_space_group_symop_operation_xyz
'x,y,z'
'-x,-y,-z'
'-x+1/2,-y,z'
'x+1/2,y,-z'
'x+1/2,-y,-z'
'-x+1/2,y,z'
'-x,y,-z'
'x,-y,z'
loop_
_atom_site_label
_atom_site_fract_x
_atom_site_fract_y
_atom_site_fract_z
Ni1 0.250 0.000 0.146
S1 0.250 0.000 0.917
Br1 0.250 0.500 0.321
```

Most intense lines, 15 to 90 degrees two-theta, sorted by position:
2θ (°), I/Imax, index
18.73, 17, 0 0 2
22.56, 100, 1 0 1
27.15, 58, 0 1 1
38.11, 41, 1 1 2
38.38, 40, 0 1 3
41.67, 26, 2 0 0
50.45, 19, 2 1 1
51.11, 35, 1 1 4
57.62, 19, 1 2 1
57.94, 23, 2 1 3



3.
Diffraction record for Sc2ZnNiBr. The powder X-ray diffraction pattern is computed, not measured: it uses a cell relaxed with PBE and λ = 1.5418 Å (Cu Kα).

Cell and atoms:
```
data_Sc2ZnNiBr
_space_group_name_H-M_alt 'P 4/m m m'
_space_group_IT_number 123
_space_group_name_Hall '-P 4 2'
_cell_length_a 4.992
_cell_length_b 4.992
_cell_length_c 4.324
_cell_angle_alpha 90.00
_cell_angle_beta 90.00
_cell_angle_gamma 90.00
loop_
_atom_site_label
_atom_site_fract_x
_atom_site_fract_y
_atom_site_fract_z
Sc1 0.000 0.500 0.000
Zn1 0.000 0.000 0.500
Ni1 0.500 0.500 0.500
Br1 0.500 0.500 0.000
```

Most intense lines, 15 to 90 degrees two-theta, sorted by position:
2θ (°), I/Imax, index
17.77, 37, 1 0 0
25.23, 44, 1 1 0
27.29, 34, 1 0 1
32.75, 57, 1 1 1
35.98, 100, 2 0 0
41.78, 34, 0 0 2
45.74, 22, 2 1 1
51.80, 33, 2 2 0
56.30, 51, 2 0 2
68.65, 27, 2 2 2



4.
Diffraction record for NiSeBr3. The powder X-ray diffraction pattern is computed, not measured: it uses a cell relaxed with PBE and λ = 1.5418 Å (Cu Kα).

Cell and atoms:
```
data_NiSeBr3
_space_group_name_H-M_alt 'P 1 2/c 1'
_space_group_IT_number 13
_cell_length_a 6.898
_cell_length_b 7.796
_cell_length_c 12.751
_cell_angle_alpha 90.00
_cell_angle_beta 92.66
_cell_angle_gamma 90.00
loop_
_space_group_symop_operation_xyz
'x,y,z'
'-x,-y,-z'
'-x,y,-z+1/2'
'x,-y,z+1/2'
loop_
_atom_site_label
_atom_site_fract_x
_atom_site_fract_y
_atom_site_fract_z
Ni1 0.056 0.121 0.383
Se1 0.023 0.416 0.339
Br1 0.144 0.156 0.961
Br2 0.233 0.041 0.226
Br3 0.325 0.297 0.459
```

Most intense lines, 15 to 90 degrees two-theta, sorted by position:
2θ (°), I/Imax, index
18.32, 44, 1 1 -1
18.53, 42, 1 0 -2
26.82, 100, 0 2 2
27.04, 41, 1 2 -1
29.50, 46, 2 1 1
30.36, 90, 1 0 -4
32.23, 45, 2 1 2
35.25, 39, 0 3 1
39.39, 47, 2 0 4
54.74, 39, 4 1 -1



5.
Diffraction record for Ni3Se3Br. The powder X-ray diffraction pattern is computed, not measured: it uses a cell relaxed with PBE and λ = 1.5418 Å (Cu Kα).

Cell and atoms:
```
data_Ni3Se3Br
_space_group_name_H-M_alt 'P 63/m'
_space_group_IT_number 176
_space_group_name_Hall '-P 6c'
_cell_length_a 8.3657
_cell_length_b 8.3657
_cell_length_c 4.9124
_cell_angle_alpha 90.00
_cell_angle_beta 90.00
_cell_angle_gamma 120.00
loop_
_atom_site_label
_atom_site_fract_x
_atom_site_fract_y
_atom_site_fract_z
Ni1 0.1482 0.8259 0.2500
Se1 0.1475 0.8302 0.7500
Br1 0.3333 0.6667 0.2500
```

Most intense lines, 15 to 90 degrees two-theta, sorted by position:
2θ (°), I/Imax, index
21.86, 16, 1 0 1
24.57, 100, 2 0 0
30.67, 20, 2 0 1
36.58, 47, 0 0 2
43.26, 81, 2 2 0
44.57, 39, 2 0 2
50.38, 12, 4 0 0
57.91, 66, 2 2 2
63.85, 12, 4 0 2
80.28, 11, 2 4 2



6.
Diffraction record for Ni2Se4Br. The powder X-ray diffraction pattern is computed, not measured: it uses a cell relaxed with PBE and λ = 1.5418 Å (Cu Kα).

Cell and atoms:
```
data_Ni2Se4Br
_space_group_name_H-M_alt 'C 1 2/c 1'
_space_group_IT_number 15
_cell_length_a 9.557
_cell_length_b 9.505
_cell_length_c 7.969
_cell_angle_alpha 90.00
_cell_angle_beta 126.82
_cell_angle_gamma 90.00
loop_
_space_group_symop_operation_xyz
'x,y,z'
'-x,-y,-z'
'-x,y,-z+1/2'
'x,-y,z+1/2'
'x+1/2,y+1/2,z'
'-x+1/2,-y+1/2,-z'
'-x+1/2,y+1/2,-z+1/2'
'x+1/2,-y+1/2,z+1/2'
loop_
_atom_site_label
_atom_site_fract_x
_atom_site_fract_y
_atom_site_fract_z
Ni1 0.000 0.000 0.000
Ni2 0.250 0.250 0.000
Se1 0.046 0.245 0.603
Se2 0.192 0.005 0.897
Br1 0.000 0.375 0.250
```

Most intense lines, 15 to 90 degrees two-theta, sorted by position:
2θ (°), I/Imax, index
23.30, 29, 2 0 0
29.99, 25, 2 2 -2
30.41, 42, 3 1 -1
30.54, 44, 1 3 0
37.68, 100, 4 0 -2
37.86, 29, 0 4 0
46.62, 20, 3 1 1
47.55, 20, 4 0 0
50.77, 22, 2 2 -4
54.44, 65, 4 4 -2



7.
Diffraction record for TaNiBr2. The powder X-ray diffraction pattern is computed, not measured: it uses a cell relaxed with PBE and λ = 1.5418 Å (Cu Kα).

Cell and atoms:
```
data_TaNiBr2
_space_group_name_H-M_alt 'P 1 m 1'
_space_group_IT_number 6
_cell_length_a 3.360
_cell_length_b 3.285
_cell_length_c 8.520
_cell_angle_alpha 90.00
_cell_angle_beta 100.74
_cell_angle_gamma 90.00
loop_
_space_group_symop_operation_xyz
'x,y,z'
'x,-y,z'
loop_
_atom_site_label
_atom_site_fract_x
_atom_site_fract_y
_atom_site_fract_z
Ta1 0.000 0.000 0.000
Ni1 0.568 0.500 0.143
Br1 0.149 0.000 0.315
Br2 0.885 0.500 0.757
```

Most intense lines, 15 to 90 degrees two-theta, sorted by position:
2θ (°), I/Imax, index
27.01, 47, 1 0 0
27.13, 53, 1 0 -1
29.20, 31, 0 1 1
34.71, 56, 0 1 2
38.71, 100, 1 1 -1
41.60, 27, 1 1 1
42.51, 65, 0 1 3
46.36, 28, 1 0 3
46.87, 28, 1 0 -4
54.62, 25, 2 0 -1



8.
Diffraction record for Ta2NiBr. The powder X-ray diffraction pattern is computed, not measured: it uses a cell relaxed with PBE and λ = 1.5418 Å (Cu Kα).

Cell and atoms:
```
data_Ta2NiBr
_space_group_name_H-M_alt 'P 4 m m'
_space_group_IT_number 99
_cell_length_a 3.015
_cell_length_b 3.015
_cell_length_c 8.382
_cell_angle_alpha 90.00
_cell_angle_beta 90.00
_cell_angle_gamma 90.00
loop_
_space_group_symop_operation_xyz
'x,y,z'
'-y,x,z'
'-x,-y,z'
'y,-x,z'
'-x,y,z'
'y,x,z'
'x,-y,z'
'-y,-x,z'
loop_
_atom_site_label
_atom_site_fract_x
_atom_site_fract_y
_atom_site_fract_z
Ta1 0.000 0.000 0.000
Ta2 0.500 0.500 0.257
Ni1 0.500 0.500 0.822
Br1 0.000 0.000 0.472
```

Most intense lines, 15 to 90 degrees two-theta, sorted by position:
2θ (°), I/Imax, index
31.53, 11, 1 0 1
36.72, 100, 1 0 2
42.39, 38, 1 1 0
43.17, 11, 0 0 4
43.81, 9, 1 1 1
44.19, 17, 1 0 3
61.50, 12, 2 0 0
62.11, 16, 1 1 4
73.82, 26, 2 1 2
78.09, 8, 2 0 4



9.
Diffraction record for NiTe2Br. The powder X-ray diffraction pattern is computed, not measured: it uses a cell relaxed with PBE and λ = 1.5418 Å (Cu Kα).

Cell and atoms:
```
data_NiTe2Br
_space_group_name_H-M_alt 'C 1 2/m 1'
_space_group_IT_number 12
_cell_length_a 6.945
_cell_length_b 11.740
_cell_length_c 5.162
_cell_angle_alpha 90.00
_cell_angle_beta 91.87
_cell_angle_gamma 90.00
loop_
_space_group_symop_operation_xyz
'x,y,z'
'-x,-y,-z'
'-x,y,-z'
'x,-y,z'
'x+1/2,y+1/2,z'
'-x+1/2,-y+1/2,-z'
'-x+1/2,y+1/2,-z'
'x+1/2,-y+1/2,z'
loop_
_atom_site_label
_atom_site_fract_x
_atom_site_fract_y
_atom_site_fract_z
Ni1 0.000 0.171 0.000
Te1 0.197 0.315 0.275
Br1 0.170 0.000 0.226
```

Most intense lines, 15 to 90 degrees two-theta, sorted by position:
2θ (°), I/Imax, index
15.09, 34, 0 2 0
25.67, 20, 2 0 0
30.57, 41, 2 0 -1
31.22, 38, 1 3 -1
31.69, 100, 1 3 1
34.78, 18, 0 0 2
43.66, 16, 1 3 -2
44.42, 23, 2 0 2
45.54, 33, 3 3 0
46.41, 15, 0 6 0



10.
Diffraction record for Th6NiBr15. The powder X-ray diffraction pattern is computed, not measured: it uses a cell relaxed with PBE and λ = 1.5418 Å (Cu Kα).

Cell and atoms:
```
data_Th6NiBr15
_space_group_name_H-M_alt 'I m -3 m'
_space_group_IT_number 229
_space_group_name_Hall '-I 4 2 3'
_cell_length_a 11.743
_cell_length_b 11.743
_cell_length_c 11.743
_cell_angle_alpha 90.00
_cell_angle_beta 90.00
_cell_angle_gamma 90.00
loop_
_atom_site_label
_atom_site_fract_x
_atom_site_fract_y
_atom_site_fract_z
Th1 0.000 0.000 0.240
Ni1 0.000 0.000 0.000
Br1 0.000 0.000 0.500
Br2 0.000 0.250 0.250
```

Most intense lines, 15 to 90 degrees two-theta, sorted by position:
2θ (°), I/Imax, index
18.51, 31, 2 1 1
23.96, 14, 3 1 0
28.44, 36, 3 2 1
30.45, 100, 4 0 0
35.87, 15, 3 3 2
39.11, 18, 5 1 0
43.60, 74, 4 4 0
54.11, 26, 4 4 4
71.91, 33, 8 4 0
80.06, 24, 8 4 4



11.
Diffraction record for Tl3Ni2Br9. The powder X-ray diffraction pattern is computed, not measured: it uses a cell relaxed with PBE and λ = 1.5418 Å (Cu Kα).

Cell and atoms:
```
data_Tl3Ni2Br9
_space_group_name_H-M_alt 'R -3 c'
_space_group_IT_number 167
_space_group_name_Hall '-R 3 2"c'
_cell_length_a 12.0516
_cell_length_b 12.0516
_cell_length_c 21.7487
_cell_angle_alpha 90.00
_cell_angle_beta 90.00
_cell_angle_gamma 120.00
loop_
_atom_site_label
_atom_site_fract_x
_atom_site_fract_y
_atom_site_fract_z
Tl1 0.0000 0.3374 0.2500
Ni1 0.0000 0.0000 0.1772
Br1 0.0000 0.1605 0.7500
Br2 0.0047 0.1715 0.1154
```

Most intense lines, 15 to 90 degrees two-theta, sorted by position:
2θ (°), I/Imax, index
19.15, 32, 1 1 3
24.56, 23, 0 0 6
25.61, 18, 3 0 0
28.74, 13, 1 1 6
29.65, 15, 2 2 0
32.17, 100, 2 2 3
38.87, 20, 2 2 6
40.23, 17, 1 1 9
52.61, 22, 6 0 0
63.02, 14, 4 4 3



12.
Diffraction record for TlNiBr4. The powder X-ray diffraction pattern is computed, not measured: it uses a cell relaxed with PBE and λ = 1.5418 Å (Cu Kα).

Cell and atoms:
```
data_TlNiBr4
_space_group_name_H-M_alt 'P 1 2/m 1'
_space_group_IT_number 10
_cell_length_a 7.202
_cell_length_b 3.897
_cell_length_c 7.369
_cell_angle_alpha 90.00
_cell_angle_beta 107.82
_cell_angle_gamma 90.00
loop_
_space_group_symop_operation_xyz
'x,y,z'
'-x,-y,-z'
'-x,y,-z'
'x,-y,z'
loop_
_atom_site_label
_atom_site_fract_x
_atom_site_fract_y
_atom_site_fract_z
Tl1 0.000 0.000 0.000
Ni1 0.000 0.500 0.500
Br1 0.208 0.000 0.695
Br2 0.229 0.500 0.299
```

Most intense lines, 15 to 90 degrees two-theta, sorted by position:
2θ (°), I/Imax, index
26.16, 33, 0 1 1
30.37, 47, 2 0 -2
31.00, 100, 1 1 1
33.89, 25, 1 1 -2
39.97, 37, 3 0 -2
42.12, 15, 2 0 2
43.57, 26, 1 1 -3
44.32, 34, 3 1 -1
46.61, 18, 0 2 0
56.65, 16, 2 2 -2